Simulated X-ray diffraction stick pattern
Compound: UInPd
Radiation: Cu Kα
Structure: a structure optimized by DFT (PBE)
Intensities are scaled so that the largest is 100.

Structural model:
Unit cell a=7.4887 b=7.4887 c=4.1203 alpha=90.00 beta=90.00 gamma=120.00
Positions (direct):
U1 0.0000 0.5802 0.0000
U2 0.4198 0.4198 0.0000
U3 0.5802 0.0000 0.0000
In1 0.0000 0.2486 0.5000
In2 0.2486 0.0000 0.5000
In3 0.7514 0.7514 0.5000
Pd1 0.0000 0.0000 0.0000
Pd2 0.3333 0.6667 0.5000
Pd3 0.6667 0.3333 0.5000

The 10 most intense peaks (10 to 90 degrees two-theta), sorted by position:
2θ/deg, d_spacing, Rel. int., hkl
27.51, 3.243, 18, 2 0 0
32.31, 2.771, 95, 1 1 1
35.22, 2.548, 100, 2 0 1
36.66, 2.451, 47, 2 1 0
41.78, 2.162, 19, 3 0 0
43.95, 2.060, 26, 0 0 2
50.76, 1.799, 18, 3 1 0
55.76, 1.648, 29, 3 1 1
58.53, 1.577, 24, 2 1 2
66.86, 1.399, 24, 3 2 1